Computed XRD peak list
Compound: Na8Li9Fe4O16
Radiation: Cu Kα X-rays
Structure: the GGA+U geometry in Alexandria
Intensities are scaled so that the largest is 100.

Crystal structure
```
Na8Li9Fe4O16
1.0
6.6021 0.0000 0.0000
0.0901 8.2018 0.0000
0.1006 0.0164 8.3907
Na Li Fe O
8 9 4 16
Direct
0.0000 0.0000 0.0000 Na
0.0032 0.5052 0.4920 Na
0.1791 0.2108 0.2686 Na
0.3452 0.7997 0.7023 Na
0.5024 0.0069 0.9732 Na
0.5076 0.4925 0.4702 Na
0.7774 0.7793 0.2479 Na
0.8886 0.3262 0.7720 Na
0.0012 0.5140 0.1295 Li
0.2425 0.7356 0.0569 Li
0.2474 0.2754 0.9201 Li
0.4812 0.5223 0.1337 Li
0.4897 0.0118 0.3241 Li
0.4923 0.4820 0.8316 Li
0.7448 0.7784 0.5689 Li
0.7512 0.1721 0.4311 Li
0.9923 0.9847 0.6354 Li
0.2450 0.7810 0.3522 Fe
0.2662 0.2085 0.6156 Fe
0.7382 0.2806 0.1289 Fe
0.7572 0.7105 0.8641 Fe
0.0015 0.2040 0.5253 O
0.0215 0.7959 0.4895 O
0.2309 0.0629 0.7840 O
0.2343 0.5720 0.2549 O
0.2638 0.9383 0.1894 O
0.2668 0.4090 0.7161 O
0.4604 0.2058 0.4572 O
0.4991 0.6859 0.9591 O
0.5031 0.7983 0.4451 O
0.5110 0.3099 0.0098 O
0.7257 0.5660 0.6967 O
0.7316 0.0710 0.2000 O
0.7417 0.4665 0.2482 O
0.7672 0.9102 0.7702 O
0.9561 0.7158 0.0094 O
0.9929 0.2919 0.0379 O
```

Largest 10 diffraction maxima, by intensity, 5 to 70 degrees two-theta:
2θ = 23.82°, I 100
2θ = 20.26°, I 86
2θ = 34.50°, I 85
2θ = 17.18°, I 82
2θ = 21.67°, I 64
2θ = 16.99°, I 64
2θ = 34.37°, I 62
2θ = 34.78°, I 55
2θ = 20.08°, I 45
2θ = 20.41°, I 44

---

Computed XRD peak list
Compound: NaLiFe2Si4O12
Radiation: Cu Kα X-rays
Structure: the GGA+U geometry in Alexandria
Intensities are scaled so that the largest is 100.

Crystal structure
```
NaLiFe2Si4O12
1.0
4.8983 -4.4289 0.0000
4.8983 4.4289 0.0000
-1.7449 0.0000 5.0737
Na Li Fe Si O
1 1 2 4 12
Direct
0.0000 0.0000 0.0000 Na
0.4516 0.5484 0.5000 Li
0.6050 0.3950 0.0000 Fe
0.8082 0.1918 0.5000 Fe
0.0895 0.4990 0.0011 Si
0.3242 0.0904 0.5019 Si
0.5010 0.9105 0.9989 Si
0.9096 0.6758 0.4981 Si
0.0539 0.6524 0.2814 O
0.0620 0.6434 0.7816 O
0.0887 0.1902 0.4442 O
0.3273 0.4063 0.0737 O
0.3476 0.9461 0.7186 O
0.3566 0.9380 0.2184 O
0.5081 0.2633 0.6060 O
0.5937 0.6727 0.9263 O
0.6699 0.0977 0.1071 O
0.7367 0.4919 0.3940 O
0.8098 0.9113 0.5558 O
0.9023 0.3301 0.8929 O
```

Largest 10 diffraction maxima, by intensity, 5 to 70 degrees two-theta:
2θ = 29.46°, I 100
2θ = 30.66°, I 55
2θ = 13.83°, I 49
2θ = 35.38°, I 36
2θ = 36.40°, I 31
2θ = 19.73°, I 28
2θ = 34.92°, I 24
2θ = 20.05°, I 22
2θ = 24.72°, I 20
2θ = 42.08°, I 19

---

Computed XRD peak list
Compound: Li3Nb4FeO12
Radiation: Cu Kα X-rays
Structure: the GGA+U geometry in Alexandria
Intensities are scaled so that the largest is 100.

Crystal structure
```
Li3Nb4FeO12
1.0
5.2577 0.0000 0.0000
0.0222 5.6344 0.0000
0.0211 0.6715 7.6424
Li Nb Fe O
3 4 1 12
Direct
0.0000 0.0000 0.0000 Li
0.0010 0.9954 0.4942 Li
0.4999 0.4866 0.4939 Li
0.0032 0.5750 0.7773 Nb
0.4944 0.0494 0.2845 Nb
0.5024 0.0673 0.7791 Nb
0.9957 0.5551 0.2856 Nb
0.4963 0.4790 0.9918 Fe
0.1251 0.5917 0.5375 O
0.1816 0.8993 0.2357 O
0.1970 0.2789 0.8548 O
0.3085 0.7771 0.8584 O
0.3238 0.4015 0.2291 O
0.3808 0.0943 0.5379 O
0.6254 0.0940 0.0413 O
0.6807 0.4016 0.7411 O
0.6961 0.7716 0.3554 O
0.8069 0.2753 0.3577 O
0.8181 0.8977 0.7317 O
0.8781 0.5937 0.0401 O
```

Largest 10 diffraction maxima, by intensity, 5 to 70 degrees two-theta:
2θ = 23.18°, I 100
2θ = 34.10°, I 59
2θ = 23.28°, I 50
2θ = 31.99°, I 28
2θ = 31.89°, I 28
2θ = 32.11°, I 28
2θ = 61.03°, I 27
2θ = 52.15°, I 19
2θ = 51.92°, I 18
2θ = 47.59°, I 14

---

Computed XRD peak list
Compound: LiNbFeO4
Radiation: Cu Kα X-rays
Structure: the GGA+U geometry in Alexandria
Intensities are scaled so that the largest is 100.

Crystal structure
```
LiNbFeO4
1.0
6.2907 0.0000 0.0000
0.0000 6.1270 0.0000
0.0000 0.0000 8.8264
Li Nb Fe O
4 4 4 16
Direct
0.0085 0.2500 0.1051 Li
0.4915 0.7500 0.6051 Li
0.5085 0.2500 0.3949 Li
0.9915 0.7500 0.8949 Li
0.2099 0.2500 0.7490 Nb
0.2901 0.7500 0.2490 Nb
0.7099 0.2500 0.7510 Nb
0.7901 0.7500 0.2510 Nb
0.0000 0.0000 0.5000 Fe
0.0000 0.5000 0.5000 Fe
0.5000 0.0000 0.0000 Fe
0.5000 0.5000 0.0000 Fe
0.0021 0.5234 0.2450 O
0.0021 0.9766 0.2450 O
0.2154 0.7500 0.4718 O
0.2491 0.2500 0.5304 O
0.2509 0.7500 0.0304 O
0.2846 0.2500 0.9718 O
0.4979 0.0234 0.7450 O
0.4979 0.4766 0.7450 O
0.5021 0.5234 0.2550 O
0.5021 0.9766 0.2550 O
0.7154 0.7500 0.0282 O
0.7491 0.2500 0.9696 O
0.7509 0.7500 0.4696 O
0.7846 0.2500 0.5282 O
0.9979 0.0234 0.7550 O
0.9979 0.4766 0.7550 O
```

Largest 10 diffraction maxima, by intensity, 5 to 70 degrees two-theta:
2θ = 17.62°, I 100
2θ = 41.13°, I 40
2θ = 33.61°, I 36
2θ = 17.31°, I 33
2θ = 59.40°, I 24
2θ = 40.90°, I 22
2θ = 33.80°, I 14
2θ = 35.68°, I 13
2θ = 34.10°, I 12
2θ = 35.03°, I 11

---

Computed XRD peak list
Compound: LiNbFeO4
Radiation: Cu Kα X-rays
Structure: the GGA+U geometry in Alexandria
Intensities are scaled so that the largest is 100.

Crystal structure
```
LiNbFeO4
1.0
5.3841 -3.1372 0.0000
5.3841 3.1372 0.0000
-3.6861 0.0000 10.1245
Li Nb Fe O
4 4 4 16
Direct
0.1668 0.6815 0.5708 Li
0.3185 0.8332 0.9292 Li
0.6815 0.1668 0.0708 Li
0.8332 0.3185 0.4292 Li
0.2618 0.2815 0.7706 Nb
0.2815 0.2618 0.2706 Nb
0.7185 0.7382 0.7294 Nb
0.7382 0.7185 0.2294 Nb
0.0000 0.5000 0.0000 Fe
0.2406 0.7594 0.2500 Fe
0.5000 0.0000 0.5000 Fe
0.7594 0.2406 0.7500 Fe
0.0990 0.6090 0.3599 O
0.1237 0.1511 0.8564 O
0.1259 0.6155 0.8642 O
0.1511 0.1237 0.3564 O
0.3289 0.3864 0.1344 O
0.3845 0.8741 0.6358 O
0.3864 0.3289 0.6344 O
0.3910 0.9010 0.1401 O
0.6090 0.0990 0.8599 O
0.6136 0.6711 0.3656 O
0.6155 0.1259 0.3642 O
0.6711 0.6136 0.8656 O
0.8489 0.8763 0.6436 O
0.8741 0.3845 0.1358 O
0.8763 0.8489 0.1436 O
0.9010 0.3910 0.6401 O
```

Largest 10 diffraction maxima, by intensity, 5 to 70 degrees two-theta:
2θ = 17.52°, I 100
2θ = 40.97°, I 64
2θ = 33.62°, I 43
2θ = 17.34°, I 34
2θ = 59.31°, I 25
2θ = 35.10°, I 14
2θ = 33.75°, I 13
2θ = 33.90°, I 12
2θ = 62.21°, I 11
2θ = 35.48°, I 10

---

Computed XRD peak list
Compound: Li4NbFe5O12
Radiation: Cu Kα X-rays
Structure: the GGA+U geometry in Alexandria
Intensities are scaled so that the largest is 100.

Crystal structure
```
Li4NbFe5O12
1.0
2.5754 -4.5013 0.0000
2.5754 4.5013 0.0000
-1.3706 0.0000 10.4224
Li Nb Fe O
4 1 5 12
Direct
0.0440 0.3819 0.2112 Li
0.3819 0.0440 0.2112 Li
0.6181 0.9560 0.7888 Li
0.9560 0.6181 0.7888 Li
0.5000 0.5000 0.5000 Nb
0.0000 0.0000 0.0000 Fe
0.1658 0.8342 0.5000 Fe
0.3358 0.6642 0.0000 Fe
0.6642 0.3358 0.0000 Fe
0.8342 0.1658 0.5000 Fe
0.0394 0.6904 0.1081 O
0.1345 0.4736 0.4018 O
0.1852 0.1852 0.5944 O
0.3096 0.9606 0.8919 O
0.3382 0.3382 0.1039 O
0.4736 0.1345 0.4018 O
0.5264 0.8655 0.5982 O
0.6618 0.6618 0.8961 O
0.6904 0.0394 0.1081 O
0.8148 0.8148 0.4056 O
0.8655 0.5264 0.5982 O
0.9606 0.3096 0.8919 O
```

Largest 10 diffraction maxima, by intensity, 5 to 70 degrees two-theta:
2θ = 17.01°, I 100
2θ = 42.15°, I 18
2θ = 36.33°, I 17
2θ = 45.05°, I 15
2θ = 35.18°, I 14
2θ = 62.34°, I 10
2θ = 64.60°, I 9
2θ = 37.14°, I 9
2θ = 58.68°, I 8
2θ = 41.36°, I 8

---

Computed XRD peak list
Compound: Li3Nb2Fe3O10
Radiation: Cu Kα X-rays
Structure: the GGA+U geometry in Alexandria
Intensities are scaled so that the largest is 100.

Crystal structure
```
Li3Nb2Fe3O10
1.0
5.2211 0.0000 0.0000
-1.0845 5.2369 0.0000
-2.4651 -1.9793 7.3369
Li Nb Fe O
3 2 3 10
Direct
0.0000 0.0000 0.0000 Li
0.2017 0.6965 0.1938 Li
0.6580 0.7689 0.5418 Li
0.0683 0.4296 0.4720 Nb
0.5825 0.2952 0.0916 Nb
0.2335 0.0381 0.6596 Fe
0.4390 0.6957 0.8853 Fe
0.8343 0.3771 0.7842 Fe
0.0157 0.6741 0.7034 O
0.2269 0.3461 0.9417 O
0.2542 0.7708 0.4539 O
0.3917 0.9499 0.0922 O
0.4359 0.4158 0.6405 O
0.6412 0.0745 0.8530 O
0.6703 0.5049 0.3303 O
0.8081 0.5888 0.0007 O
0.8715 0.1588 0.5756 O
0.9835 0.2340 0.2282 O
```

Largest 10 diffraction maxima, by intensity, 5 to 70 degrees two-theta:
2θ = 18.18°, I 100
2θ = 17.54°, I 73
2θ = 42.73°, I 53
2θ = 41.82°, I 47
2θ = 41.18°, I 46
2θ = 12.06°, I 37
2θ = 34.40°, I 35
2θ = 25.65°, I 34
2θ = 31.19°, I 25
2θ = 21.79°, I 25

---

Computed XRD peak list
Compound: LiNbFeO4
Radiation: Cu Kα X-rays
Structure: the GGA+U geometry in Alexandria
Intensities are scaled so that the largest is 100.

Crystal structure
```
LiNbFeO4
1.0
4.3389 -4.4652 0.0000
4.3389 4.4652 0.0000
-4.3034 0.0000 4.3888
Li Nb Fe O
2 2 2 8
Direct
0.1059 0.8941 0.7500 Li
0.8941 0.1059 0.2500 Li
0.0000 0.5000 0.0000 Nb
0.5000 0.0000 0.5000 Nb
0.5000 0.5000 0.0000 Fe
0.5000 0.5000 0.5000 Fe
0.2406 0.2956 0.0098 O
0.2447 0.7529 0.4684 O
0.2471 0.7553 0.0316 O
0.2956 0.2406 0.5098 O
0.7044 0.7594 0.4902 O
0.7529 0.2447 0.9684 O
0.7553 0.2471 0.5316 O
0.7594 0.7044 0.9902 O
```

Largest 10 diffraction maxima, by intensity, 5 to 70 degrees two-theta:
2θ = 17.49°, I 100
2θ = 33.43°, I 17
2θ = 40.40°, I 17
2θ = 41.13°, I 16
2θ = 41.63°, I 16
2θ = 33.78°, I 12
2θ = 34.07°, I 12
2θ = 59.02°, I 10
2θ = 59.40°, I 10
2θ = 35.26°, I 10

---

Computed XRD peak list
Compound: Li6NbFe5O12
Radiation: Cu Kα X-rays
Structure: the GGA+U geometry in Alexandria
Intensities are scaled so that the largest is 100.

Crystal structure
```
Li6NbFe5O12
1.0
2.6189 -4.4918 0.0000
2.6189 4.4918 0.0000
-2.4814 0.0000 10.1665
Li Nb Fe O
6 1 5 12
Direct
0.0000 0.0000 0.0000 Li
0.0670 0.0670 0.5024 Li
0.3181 0.6592 0.9930 Li
0.3990 0.7319 0.4971 Li
0.6592 0.3181 0.9930 Li
0.7319 0.3990 0.4971 Li
0.5804 0.5804 0.7502 Nb
0.1517 0.1517 0.2511 Fe
0.2196 0.8899 0.7500 Fe
0.4852 0.8182 0.2486 Fe
0.8182 0.4852 0.2486 Fe
0.8899 0.2196 0.7500 Fe
0.0924 0.4251 0.1371 O
0.1963 0.5180 0.6381 O
0.1980 0.8637 0.3603 O
0.2883 0.2883 0.8591 O
0.4251 0.0924 0.1371 O
0.5180 0.1963 0.6381 O
0.5289 0.5289 0.3576 O
0.6141 0.9291 0.8724 O
0.7621 0.7621 0.1396 O
0.8165 0.8165 0.6250 O
0.8637 0.1980 0.3603 O
0.9291 0.6141 0.8724 O
```

Largest 10 diffraction maxima, by intensity, 5 to 70 degrees two-theta:
2θ = 17.45°, I 100
2θ = 41.35°, I 22
2θ = 34.82°, I 21
2θ = 36.95°, I 20
2θ = 46.74°, I 19
2θ = 35.29°, I 15
2θ = 53.95°, I 14
2θ = 43.98°, I 9
2θ = 41.08°, I 9
2θ = 43.38°, I 8

---

Computed XRD peak list
Compound: LiNbFeO4
Radiation: Cu Kα X-rays
Structure: the GGA+U geometry in Alexandria
Intensities are scaled so that the largest is 100.

Crystal structure
```
LiNbFeO4
1.0
6.3059 0.0000 0.0000
0.0000 6.3059 0.0000
0.0000 0.0000 8.3451
Li Nb Fe O
4 4 4 16
Direct
0.0000 0.2205 0.0000 Li
0.0000 0.7795 0.5000 Li
0.2205 0.0000 0.2500 Li
0.7795 0.0000 0.7500 Li
0.2157 0.5000 0.2500 Nb
0.5000 0.2157 0.0000 Nb
0.5000 0.7843 0.5000 Nb
0.7843 0.5000 0.7500 Nb
0.2571 0.2571 0.6250 Fe
0.2571 0.7429 0.8750 Fe
0.7429 0.2571 0.3750 Fe
0.7429 0.7429 0.1250 Fe
0.0259 0.2654 0.2587 O
0.0259 0.7346 0.2413 O
0.2654 0.0259 0.9913 O
0.2654 0.9741 0.5087 O
0.2689 0.4766 0.0126 O
0.2689 0.5234 0.4874 O
0.4766 0.2689 0.2374 O
0.4766 0.7311 0.2626 O
0.5234 0.2689 0.7626 O
0.5234 0.7311 0.7374 O
0.7311 0.4766 0.9874 O
0.7311 0.5234 0.5126 O
0.7346 0.0259 0.0087 O
0.7346 0.9741 0.4913 O
0.9741 0.2654 0.7413 O
0.9741 0.7346 0.7587 O
```

Largest 10 diffraction maxima, by intensity, 5 to 70 degrees two-theta:
2θ = 33.54°, I 100
2θ = 22.61°, I 73
2θ = 35.26°, I 50
2θ = 25.60°, I 47
2θ = 14.04°, I 46
2θ = 60.81°, I 42
2θ = 29.31°, I 33
2θ = 53.53°, I 30
2θ = 57.10°, I 29
2θ = 58.55°, I 22